The following is a calculated powder diffractogram of Na2SrZn9. It was derived from the PBE geometry in Alexandria, using Cu Kα X-rays.

Peak list (10 most intense, 2θ from 10° to 80°, sorted by position)
2θ 10.15, intensity 23, (0 0 3); 2θ 18.97, intensity 29, (1 0 1); 2θ 38.01, intensity 28, (0 2 1); 2θ 38.49, intensity 19, (2 0 2); 2θ 38.78, intensity 100, (1 1 6); 2θ 41.47, intensity 32, (0 0 12); 2θ 41.74, intensity 33, (2 0 5); 2θ 45.22, intensity 20, (0 2 7); 2θ 62.35, intensity 23, (3 0 6); 2θ 68.35, intensity 23, (2 2 0)

Crystal structure
```
data_Na2SrZn9
_chemical_formula_sum 'Na6 Sr3 Zn27'
_cell_length_a 5.4895
_cell_length_b 5.4895
_cell_length_c 26.1323
_cell_angle_alpha 90.00
_cell_angle_beta 90.00
_cell_angle_gamma 120.00
_space_group_name_H-M_alt 'R -3 m'
_space_group_IT_number 166
_space_group_name_Hall '-R 3 2"'
loop_
_atom_site_label
_atom_site_type_symbol
_atom_site_fract_x
_atom_site_fract_y
_atom_site_fract_z
Na1 Na 0.0000 0.0000 0.1448
Sr1 Sr 0.0000 0.0000 0.0000
Zn1 Zn 0.0000 0.0000 0.3339
Zn2 Zn 0.0000 0.0000 0.5000
Zn3 Zn 0.0031 0.5015 0.9165
```

***

The following is a calculated powder diffractogram of NaTaZn. It was derived from the PBE geometry in Alexandria, using Cu Kα X-rays.

Peak list (10 most intense, 2θ from 10° to 80°, sorted by position)
2θ 13.40, intensity 100, (1 0 1); 2θ 20.31, intensity 33, (0 0 2); 2θ 31.94, intensity 19, (1 0 3); 2θ 33.63, intensity 21, (3 0 2); 2θ 35.58, intensity 24, (2 0 3); 2θ 37.33, intensity 38, (2 1 0); 2θ 42.86, intensity 16, (2 1 2); 2θ 43.86, intensity 25, (3 1 1); 2θ 46.21, intensity 14, (5 0 1); 2θ 46.33, intensity 18, (1 1 3)

Crystal structure
```
data_NaTaZn
_chemical_formula_sum 'Na4 Ta4 Zn4'
_cell_length_a 10.0799
_cell_length_b 2.7420
_cell_length_c 8.7513
_cell_angle_alpha 90.00
_cell_angle_beta 90.00
_cell_angle_gamma 90.00
_space_group_name_H-M_alt 'P n m a'
_space_group_IT_number 62
_space_group_name_Hall '-P 2ac 2n'
loop_
_atom_site_label
_atom_site_type_symbol
_atom_site_fract_x
_atom_site_fract_y
_atom_site_fract_z
Na1 Na 0.0734 0.2500 0.1689
Ta1 Ta 0.1116 0.2500 0.5444
Zn1 Zn 0.2086 0.2500 0.8479
```

***

The following is a calculated powder diffractogram of NaTb3. It was derived from the PBE geometry in Alexandria, using Cu Kα X-rays.

Peak list (10 most intense, 2θ from 10° to 80°, sorted by position)
2θ 14.17, intensity 11, (1 0 0); 2θ 20.88, intensity 19, (1 0 1); 2θ 28.56, intensity 23, (2 0 0); 2θ 30.78, intensity 26, (0 0 2); 2θ 32.53, intensity 100, (2 0 1); 2θ 42.49, intensity 16, (2 0 2); 2θ 50.59, intensity 19, (2 2 0); 2θ 55.85, intensity 22, (2 0 3); 2θ 60.40, intensity 22, (2 2 2); 2θ 61.45, intensity 16, (4 0 1)

Crystal structure
```
data_NaTb3
_chemical_formula_sum 'Na2 Tb6'
_cell_length_a 7.2169
_cell_length_b 7.2169
_cell_length_c 5.8100
_cell_angle_alpha 90.00
_cell_angle_beta 90.00
_cell_angle_gamma 120.00
_space_group_name_H-M_alt 'P 63/m m c'
_space_group_IT_number 194
_space_group_name_Hall '-P 6c 2c'
loop_
_atom_site_label
_atom_site_type_symbol
_atom_site_fract_x
_atom_site_fract_y
_atom_site_fract_z
Na1 Na 0.3333 0.6667 0.2500
Tb1 Tb 0.1638 0.3275 0.7500
```